Starting from DFT lattice parameters and positions (GGA-PBE), the PXRD pattern of PmHfSc3 was simulated for Cu Ka.
Intensities are scaled so that the largest is 100.

Principal peaks in the range 2θ = 10–80°, by angle:
2theta	d_spacing	Rel. int.	hkl
18.09	4.904	50	1 0 1
23.74	3.748	23	0 0 4
32.91	2.722	40	0 1 3
34.56	2.596	100	2 0 0
34.73	2.583	95	1 1 2
42.37	2.133	10	2 0 4
48.47	1.878	27	2 1 3
51.10	1.787	18	0 1 7
61.92	1.499	16	3 0 5
62.05	1.496	17	3 1 2
63.16	1.472	19	2 1 7
68.16	1.376	26	2 2 0

Cell and atoms:
Cell: 5.1895 3.2449 14.9920 Å, 90.00 90.00 90.00°
Space group Pmma (No. 51)
Inequivalent atoms, fractional coordinates:
Pm: 0.2500 0.0000 0.1464 (multiplicity 2)
Hf: 0.2500 0.5000 0.3613 (multiplicity 2)
Sc: 0.2500 0.0000 0.5470 (multiplicity 2)
Sc: 0.2500 0.0000 0.7372 (multiplicity 2)
Sc: 0.2500 0.5000 0.9388 (multiplicity 2)

Starting from DFT lattice parameters and positions (GGA-PBE), the PXRD pattern of PmHfTe was simulated for Cu Ka.
Intensities are scaled so that the largest is 100.

Principal peaks in the range 2θ = 10–80°, by angle:
2theta	d_spacing	Rel. int.	hkl
26.49	3.365	85	1 0 1
31.54	2.836	67	0 2 0
32.17	2.783	15	0 0 3
35.95	2.498	54	0 1 3
36.20	2.481	100	1 1 2
41.64	2.169	46	1 2 1
49.59	1.838	19	2 0 0
59.06	1.564	13	0 3 3
59.24	1.560	24	1 3 2
59.96	1.543	21	2 2 0
62.75	1.481	21	2 1 3
63.33	1.468	13	1 1 5

Cell and atoms:
Cell: 3.6768 5.6729 8.3486 Å, 90.00 90.00 90.00°
Space group Pmmn (No. 59, origin choice 2)
Inequivalent atoms, fractional coordinates:
Pm: 0.2500 0.2500 0.0503 (multiplicity 2)
Hf: 0.2500 0.7500 0.3026 (multiplicity 2)
Te: 0.2500 0.2500 0.4237 (multiplicity 2)

Starting from DFT lattice parameters and positions (GGA-PBE), the PXRD pattern of Pm12HfTl3 was simulated for Cu Ka.
Intensities are scaled so that the largest is 100.

Principal peaks in the range 2θ = 10–80°, by angle:
2theta	d_spacing	Rel. int.	hkl
17.94	4.944	1	1 0 0
25.28	3.523	1	1 0 4
31.17	2.869	100	1 1 4
35.77	2.510	17	0 0 8
36.34	2.472	33	2 0 0
51.91	1.761	24	2 0 8
52.34	1.748	12	2 2 0
61.42	1.509	14	1 1 12
62.18	1.493	28	3 1 4
65.01	1.435	12	2 2 8
75.79	1.255	2	0 0 16
77.17	1.236	4	4 0 0

Cell and atoms:
Cell: 4.9444 4.9444 20.0818 Å, 90.00 90.00 90.00°
Space group P4/mmm (No. 123)
Inequivalent atoms, fractional coordinates:
Pm: 0.0000 0.0000 0.0000 (multiplicity 1)
Pm: 0.0000 0.0000 0.2500 (multiplicity 2)
Pm: 0.0000 0.0000 0.5000 (multiplicity 1)
Pm: 0.0000 0.5000 0.1225 (multiplicity 4)
Pm: 0.0000 0.5000 0.3748 (multiplicity 4)
Hf: 0.5000 0.5000 0.0000 (multiplicity 1)
Tl: 0.5000 0.5000 0.2532 (multiplicity 2)
Tl: 0.5000 0.5000 0.5000 (multiplicity 1)

Repeat the third record exactly.
Starting from DFT lattice parameters and positions (GGA-PBE), the PXRD pattern of Pm12HfTl3 was simulated for Cu Ka.
Intensities are scaled so that the largest is 100.

Principal peaks in the range 2θ = 10–80°, by angle:
2theta	d_spacing	Rel. int.	hkl
17.94	4.944	1	1 0 0
25.28	3.523	1	1 0 4
31.17	2.869	100	1 1 4
35.77	2.510	17	0 0 8
36.34	2.472	33	2 0 0
51.91	1.761	24	2 0 8
52.34	1.748	12	2 2 0
61.42	1.509	14	1 1 12
62.18	1.493	28	3 1 4
65.01	1.435	12	2 2 8
75.79	1.255	2	0 0 16
77.17	1.236	4	4 0 0

Cell and atoms:
Cell: 4.9444 4.9444 20.0818 Å, 90.00 90.00 90.00°
Space group P4/mmm (No. 123)
Inequivalent atoms, fractional coordinates:
Pm: 0.0000 0.0000 0.0000 (multiplicity 1)
Pm: 0.0000 0.0000 0.2500 (multiplicity 2)
Pm: 0.0000 0.0000 0.5000 (multiplicity 1)
Pm: 0.0000 0.5000 0.1225 (multiplicity 4)
Pm: 0.0000 0.5000 0.3748 (multiplicity 4)
Hf: 0.5000 0.5000 0.0000 (multiplicity 1)
Tl: 0.5000 0.5000 0.2532 (multiplicity 2)
Tl: 0.5000 0.5000 0.5000 (multiplicity 1)